The following is a computed powder diffraction line list of Zn5Cl2O9. It was derived from the GGA-PBE geometry in the Materials Project, using Cu Kα.
Peak positions follow from Bragg's law for the DFT cell and can differ from measured ones.

Largest 12 diffraction maxima, low angle first, 2θ = 10–90°:
hkl 0 0 3, 12.1 deg, d 7.298, I 100
hkl 1 0 4, 23.2 deg, d 3.831, I 18
hkl 0 1 5, 26.3 deg, d 3.392, I 18
hkl 1 1 0, 28.8 deg, d 3.097, I 19
hkl 1 1 3, 31.4 deg, d 2.851, I 24
hkl 1 0 7, 33.2 deg, d 2.702, I 25
hkl 0 2 1, 33.7 deg, d 2.662, I 32
hkl 2 0 2, 34.4 deg, d 2.605, I 34
hkl 0 1 8, 36.9 deg, d 2.438, I 19
hkl 2 0 5, 39.4 deg, d 2.287, I 19
hkl 1 1 9, 47.5 deg, d 1.914, I 19
hkl 2 2 0, 59.7 deg, d 1.549, I 26

Cell and atoms:
```
data_Zn5Cl2O9
_chemical_formula_sum 'Zn15 Cl6 O27'
_cell_length_a 6.1946
_cell_length_b 6.1946
_cell_length_c 21.8949
_cell_angle_alpha 90.00
_cell_angle_beta 90.00
_cell_angle_gamma 120.00
_symmetry_space_group_name_H-M 'R -3 m'
_symmetry_Int_Tables_number 166
_symmetry_space_group_name_Hall '-R 3 2"'
loop_
_atom_site_label
_atom_site_type_symbol
_atom_site_fract_x
_atom_site_fract_y
_atom_site_fract_z
_atom_site_occupancy
Zn1 Zn 0.0000 0.0000 0.0771 1
Zn2 Zn 0.0000 0.5000 0.0000 1
Cl1 Cl 0.0000 0.0000 0.1789 1
O1 O 0.0000 0.0000 0.3796 1
O2 O 0.0000 0.0000 0.5000 1
O3 O 0.0080 0.5040 0.3788 1
```

---

The following is a computed powder diffraction line list of ZnClO. It was derived from the GGA-PBE geometry in the Materials Project, using Cu Kα.
Peak positions follow from Bragg's law for the DFT cell and can differ from measured ones.

Largest 12 diffraction maxima, low angle first, 2θ = 10–90°:
hkl 0 2 0, 15.5 deg, d 5.714, I 100
hkl 0 4 0, 31.4 deg, d 2.851, I 23
hkl 1 0 2, 31.5 deg, d 2.842, I 20
hkl 1 1 2, 32.5 deg, d 2.756, I 13
hkl 2 2 0, 35.3 deg, d 2.542, I 70
hkl 1 4 2, 45.0 deg, d 2.015, I 28
hkl 2 4 0, 45.1 deg, d 2.012, I 22
hkl 0 6 0, 47.7 deg, d 1.905, I 7
hkl 3 0 2, 56.2 deg, d 1.638, I 13
hkl 1 6 2, 58.3 deg, d 1.582, I 12
hkl 3 2 2, 58.6 deg, d 1.574, I 11
hkl 1 8 2, 74.3 deg, d 1.276, I 7

Cell and atoms:
```
data_ZnClO
_chemical_formula_sum 'Zn8 Cl8 O8'
_cell_length_a 5.668
_cell_length_b 11.429
_cell_length_c 6.569
_cell_angle_alpha 90.00
_cell_angle_beta 90.00
_cell_angle_gamma 90.00
_symmetry_space_group_name_H-M 'P b c a'
_symmetry_Int_Tables_number 61
loop_
_symmetry_equiv_pos_as_xyz
'x,y,z'
'-x,-y,-z'
'-x+1/2,-y,z+1/2'
'x+1/2,y,-z+1/2'
'x+1/2,-y+1/2,-z'
'-x+1/2,y+1/2,z'
'-x,y+1/2,-z+1/2'
'x,-y+1/2,z+1/2'
loop_
_atom_site_label
_atom_site_type_symbol
_atom_site_fract_x
_atom_site_fract_y
_atom_site_fract_z
_atom_site_occupancy
Zn1 Zn 0.238 0.007 0.125 1
Cl1 Cl 0.043 0.148 0.416 1
O1 O 0.089 0.060 0.864 1
```

---

The following is a computed powder diffraction line list of OsS6Cl24. It was derived from the GGA-PBE geometry in the Materials Project, using Cu Kα.
Peak positions follow from Bragg's law for the DFT cell and can differ from measured ones.

Largest 12 diffraction maxima, low angle first, 2θ = 10–90°:
hkl 1 1 1, 11.3 deg, d 7.852, I 61
hkl 2 0 -1, 14.9 deg, d 5.931, I 100
hkl 2 0 0, 15.1 deg, d 5.849, I 48
hkl 0 4 1, 16.3 deg, d 5.431, I 41
hkl 1 3 -2, 16.9 deg, d 5.237, I 41
hkl 1 3 2, 19.2 deg, d 4.616, I 32
hkl 2 4 0, 21.5 deg, d 4.128, I 18
hkl 2 4 -2, 22.8 deg, d 3.895, I 16
hkl 3 1 -2, 23.5 deg, d 3.790, I 46
hkl 0 0 4, 23.7 deg, d 3.749, I 24
hkl 4 4 0, 34.3 deg, d 2.613, I 15
hkl 4 4 -4, 37.7 deg, d 2.386, I 17

Cell and atoms:
```
data_OsS6Cl24
_chemical_formula_sum 'Os2 S12 Cl48'
_cell_length_a 12.021
_cell_length_b 23.307
_cell_length_c 15.411
_cell_angle_alpha 90.00
_cell_angle_beta 103.32
_cell_angle_gamma 90.00
_symmetry_space_group_name_H-M 'C 1 2/m 1'
_symmetry_Int_Tables_number 12
loop_
_symmetry_equiv_pos_as_xyz
'x,y,z'
'-x,-y,-z'
'-x,y,-z'
'x,-y,z'
'x+1/2,y+1/2,z'
'-x+1/2,-y+1/2,-z'
'-x+1/2,y+1/2,-z'
'x+1/2,-y+1/2,z'
loop_
_atom_site_label
_atom_site_type_symbol
_atom_site_fract_x
_atom_site_fract_y
_atom_site_fract_z
_atom_site_occupancy
Os1 Os 0.000 0.000 0.000 1
S1 S 0.055 0.000 0.152 1
S2 S 0.081 0.093 0.997 1
Cl1 Cl 0.004 0.457 0.742 1
Cl2 Cl 0.027 0.228 0.068 1
Cl3 Cl 0.087 0.091 0.215 1
Cl4 Cl 0.106 0.183 0.254 1
Cl5 Cl 0.140 0.349 0.448 1
Cl6 Cl 0.165 0.406 0.545 1
```

---

The following is a computed powder diffraction line list of OsS2Cl12. It was derived from the GGA-PBE geometry in the Materials Project, using Cu Kα.
Peak positions follow from Bragg's law for the DFT cell and can differ from measured ones.

Largest 12 diffraction maxima, low angle first, 2θ = 10–90°:
hkl 1 0 1, 10.8 deg, d 8.168, I 100
hkl 1 1 0, 16.6 deg, d 5.352, I 36
hkl 1 0 4, 22.7 deg, d 3.916, I 22
hkl 2 1 1, 25.9 deg, d 3.434, I 8
hkl 1 2 2, 27.5 deg, d 3.246, I 13
hkl 0 2 4, 28.2 deg, d 3.159, I 8
hkl 2 0 5, 32.3 deg, d 2.770, I 6
hkl 0 3 3, 32.9 deg, d 2.723, I 21
hkl 1 2 5, 36.5 deg, d 2.460, I 10
hkl 0 3 6, 42.9 deg, d 2.108, I 15
hkl 3 1 5, 43.9 deg, d 2.063, I 10
hkl 3 3 0, 51.2 deg, d 1.784, I 7

Cell and atoms:
```
data_OsS2Cl12
_chemical_formula_sum 'Os3 S6 Cl36'
_cell_length_a 10.7046
_cell_length_b 10.7046
_cell_length_c 17.2711
_cell_angle_alpha 90.00
_cell_angle_beta 90.00
_cell_angle_gamma 120.00
_symmetry_space_group_name_H-M 'R -3 m'
_symmetry_Int_Tables_number 166
_symmetry_space_group_name_Hall '-R 3 2"'
loop_
_atom_site_label
_atom_site_type_symbol
_atom_site_fract_x
_atom_site_fract_y
_atom_site_fract_z
_atom_site_occupancy
Os1 Os 0.0000 0.0000 0.0000 1
S1 S 0.0000 0.0000 0.2087 1
Cl1 Cl 0.0983 0.1967 0.7372 1
Cl2 Cl 0.1025 0.2051 0.0794 1
```

---

The following is a computed powder diffraction line list of Os4SeS11Cl8. It was derived from the GGA-PBE geometry in the Materials Project, using Cu Kα.
Peak positions follow from Bragg's law for the DFT cell and can differ from measured ones.

Largest 12 diffraction maxima, low angle first, 2θ = 10–90°:
hkl 1 0 -1, 11.8 deg, d 7.470, I 97
hkl 1 0 1, 12.0 deg, d 7.385, I 100
hkl 1 1 -1, 14.2 deg, d 6.219, I 49
hkl 1 1 1, 14.4 deg, d 6.171, I 23
hkl 0 1 2, 16.3 deg, d 5.438, I 91
hkl 2 0 0, 19.2 deg, d 4.632, I 19
hkl 0 1 4, 29.8 deg, d 2.993, I 17
hkl 3 2 0, 33.1 deg, d 2.706, I 20
hkl 1 4 -1, 34.1 deg, d 2.628, I 24
hkl 1 0 -5, 37.4 deg, d 2.404, I 29
hkl 4 2 -1, 42.8 deg, d 2.114, I 19
hkl 5 2 0, 52.0 deg, d 1.759, I 16

Cell and atoms:
```
data_Os4SeS11Cl8
_chemical_formula_sum 'Os8 Se2 S22 Cl16'
_cell_length_a 9.264
_cell_length_b 11.236
_cell_length_c 12.429
_cell_angle_alpha 90.00
_cell_angle_beta 90.68
_cell_angle_gamma 90.00
_symmetry_space_group_name_H-M 'P 1 21 1'
_symmetry_Int_Tables_number 4
loop_
_symmetry_equiv_pos_as_xyz
'x,y,z'
'-x,y+1/2,-z'
loop_
_atom_site_label
_atom_site_type_symbol
_atom_site_fract_x
_atom_site_fract_y
_atom_site_fract_z
_atom_site_occupancy
Os1 Os 0.198 0.000 0.342 1
Os2 Os 0.199 0.499 0.158 1
Os3 Os 0.297 0.739 0.158 1
Os4 Os 0.299 0.237 0.342 1
Se1 Se 0.451 0.566 0.200 1
S1 S 0.063 0.170 0.312 1
S2 S 0.063 0.669 0.187 1
S3 S 0.096 0.708 0.593 1
S4 S 0.102 0.205 0.907 1
S5 S 0.214 0.034 0.517 1
S6 S 0.217 0.532 0.984 1
S7 S 0.285 0.703 0.983 1
S8 S 0.287 0.204 0.518 1
S9 S 0.394 0.029 0.922 1
S10 S 0.404 0.530 0.593 1
S11 S 0.434 0.068 0.313 1
Cl1 Cl 0.025 0.400 0.643 1
Cl2 Cl 0.025 0.901 0.858 1
Cl3 Cl 0.192 0.942 0.146 1
Cl4 Cl 0.195 0.440 0.355 1
Cl5 Cl 0.301 0.296 0.146 1
Cl6 Cl 0.303 0.798 0.355 1
Cl7 Cl 0.476 0.836 0.642 1
Cl8 Cl 0.481 0.341 0.860 1
```

---

The following is a computed powder diffraction line list of OsSe2Cl12. It was derived from the GGA-PBE geometry in the Materials Project, using Cu Kα.
Peak positions follow from Bragg's law for the DFT cell and can differ from measured ones.

Largest 12 diffraction maxima, low angle first, 2θ = 10–90°:
hkl 1 1 1, 10.7 deg, d 8.281, I 72
hkl 1 1 3, 15.6 deg, d 5.673, I 44
hkl 0 2 2, 15.8 deg, d 5.600, I 35
hkl 0 0 4, 16.1 deg, d 5.506, I 21
hkl 2 0 2, 16.5 deg, d 5.369, I 100
hkl 1 3 1, 22.1 deg, d 4.020, I 35
hkl 2 2 4, 25.7 deg, d 3.470, I 43
hkl 2 4 0, 31.1 deg, d 2.874, I 20
hkl 2 2 6, 31.5 deg, d 2.836, I 42
hkl 2 4 2, 32.2 deg, d 2.781, I 20
hkl 4 4 0, 40.4 deg, d 2.234, I 23
hkl 4 2 6, 40.7 deg, d 2.216, I 43

Cell and atoms:
```
data_OsSe2Cl12
_chemical_formula_sum 'Os8 Se16 Cl96'
_cell_length_a 12.299
_cell_length_b 13.006
_cell_length_c 22.026
_cell_angle_alpha 90.00
_cell_angle_beta 90.00
_cell_angle_gamma 90.00
_symmetry_space_group_name_H-M 'F d d 2'
_symmetry_Int_Tables_number 43
_symmetry_space_group_name_Hall 'F 2 -2d'
loop_
_atom_site_label
_atom_site_type_symbol
_atom_site_fract_x
_atom_site_fract_y
_atom_site_fract_z
_atom_site_occupancy
Os1 Os 0.000 0.000 0.000 1
Se1 Se 0.004 0.228 0.583 1
Cl1 Cl 0.108 0.174 0.508 1
Cl2 Cl 0.108 0.425 0.576 1
Cl3 Cl 0.110 0.148 0.003 1
Cl4 Cl 0.110 0.424 0.426 1
Cl5 Cl 0.112 0.168 0.656 1
Cl6 Cl 0.118 0.395 0.077 1
```

---

The following is a computed powder diffraction line list of Te2OsCl12. It was derived from the GGA-PBE geometry in the Materials Project, using Cu Kα.
Peak positions follow from Bragg's law for the DFT cell and can differ from measured ones.

Largest 12 diffraction maxima, low angle first, 2θ = 10–90°:
hkl 0 1 0, 14.3 deg, d 6.185, I 31
hkl 1 0 0, 14.8 deg, d 5.975, I 26
hkl 1 1 1, 15.3 deg, d 5.805, I 35
hkl 1 0 -1, 17.9 deg, d 4.955, I 100
hkl 0 1 -1, 18.2 deg, d 4.877, I 100
hkl 1 1 2, 18.9 deg, d 4.704, I 93
hkl 1 -1 0, 24.6 deg, d 3.615, I 33
hkl 1 2 1, 25.0 deg, d 3.566, I 35
hkl 0 1 3, 25.9 deg, d 3.444, I 31
hkl 2 2 2, 30.8 deg, d 2.906, I 37
hkl 1 3 0, 39.9 deg, d 2.257, I 42
hkl 2 3 3, 40.9 deg, d 2.207, I 38

Cell and atoms:
```
data_Te2OsCl12
_chemical_formula_sum 'Te2 Os1 Cl12'
_cell_length_a 6.771
_cell_length_b 7.154
_cell_length_c 11.299
_cell_angle_alpha 71.68
_cell_angle_beta 75.64
_cell_angle_gamma 62.76
_symmetry_space_group_name_H-M 'P -1'
_symmetry_Int_Tables_number 2
loop_
_symmetry_equiv_pos_as_xyz
'x,y,z'
'-x,-y,-z'
loop_
_atom_site_label
_atom_site_type_symbol
_atom_site_fract_x
_atom_site_fract_y
_atom_site_fract_z
_atom_site_occupancy
Te1 Te 0.238 0.244 0.260 1
Os1 Os 0.500 0.500 0.500 1
Cl1 Cl 0.015 0.590 0.150 1
Cl2 Cl 0.073 0.067 0.200 1
Cl3 Cl 0.110 0.698 0.518 1
Cl4 Cl 0.448 0.181 0.596 1
Cl5 Cl 0.472 0.815 0.908 1
Cl6 Cl 0.491 0.462 0.303 1
```